Entry 1:
Diffraction record for ErAl6Fe6. The PXRD pattern is simulated, not measured: it uses DFT lattice parameters and positions (PBE) and Cu Kα X-rays.
Neutral-atom scattering factors, no anomalous dispersion.

Principal peaks in the range 2θ = 10–80°, by angle:
| Position (°2θ) | I_rel |
| --- | --- |
| 14.66 | 56.8 |
| 20.66 | 29.6 |
| 29.35 | 29.2 |
| 29.55 | 80.0 |
| 41.89 | 100.0 |
| 42.09 | 94.4 |
| 42.33 | 33.0 |
| 42.67 | 40.7 |
| 47.27 | 26.7 |
| 61.33 | 41.6 |

```
ErAl6Fe6
1.0
-2.492 4.238 4.309
2.492 -4.238 4.309
2.492 4.238 -4.309
Er Al Fe
1 6 6
Direct
0.000 0.000 0.000
0.192 0.692 0.500
0.336 0.000 0.336
0.346 0.346 0.000
0.654 0.654 0.000
0.664 0.000 0.664
0.808 0.308 0.500
0.000 0.000 0.500
0.000 0.500 0.000
0.240 0.500 0.740
0.500 0.000 0.000
0.500 0.500 0.500
0.760 0.500 0.260
```

=====

Entry 2:
Diffraction record for Er3Al4Fe2. The PXRD pattern is simulated, not measured: it uses DFT lattice parameters and positions (PBE) and Cu Kα X-rays.
Neutral-atom scattering factors, no anomalous dispersion.

Principal peaks in the range 2θ = 10–80°, by angle:
| Position (°2θ) | I_rel |
| --- | --- |
| 20.09 | 64.4 |
| 20.48 | 45.7 |
| 32.91 | 45.8 |
| 33.06 | 80.5 |
| 33.44 | 26.0 |
| 33.55 | 59.3 |
| 38.87 | 30.2 |
| 39.10 | 100.0 |
| 39.31 | 48.3 |
| 39.53 | 40.5 |

```
Er3Al4Fe2
1.0
5.342 0.000 0.000
2.610 4.682 0.000
0.232 0.025 13.263
Er Al Fe
6 8 4
Direct
0.007 0.001 0.121
0.331 0.332 0.542
0.339 0.330 0.794
0.661 0.670 0.206
0.669 0.668 0.458
0.993 0.999 0.879
0.000 0.000 0.500
0.000 0.500 0.000
0.168 0.665 0.333
0.334 0.832 0.667
0.340 0.322 0.162
0.660 0.678 0.838
0.666 0.168 0.333
0.832 0.335 0.667
0.165 0.167 0.334
0.500 0.000 0.000
0.500 0.500 0.000
0.835 0.833 0.666
```

=====

Entry 3:
Diffraction record for Er2Al3Fe14. The PXRD pattern is simulated, not measured: it uses DFT lattice parameters and positions (PBE) and Cu Kα X-rays.
Neutral-atom scattering factors, no anomalous dispersion.

Principal peaks in the range 2θ = 10–80°, by angle:
| Position (°2θ) | I_rel |
| --- | --- |
| 30.31 | 33.2 |
| 32.71 | 12.0 |
| 36.55 | 52.1 |
| 41.19 | 25.5 |
| 42.46 | 44.0 |
| 42.93 | 100.0 |
| 44.32 | 24.5 |
| 46.61 | 12.5 |
| 70.20 | 19.3 |
| 77.69 | 16.9 |

```
Er2Al3Fe14
1.0
4.255 -7.379 0.000
4.255 7.379 0.000
0.000 0.000 8.175
Er Al Fe
4 6 28
Direct
0.000 0.000 0.250
0.000 0.000 0.750
0.333 0.667 0.750
0.667 0.333 0.250
0.000 0.500 0.000
0.000 0.500 0.500
0.500 0.000 0.000
0.500 0.000 0.500
0.500 0.500 0.000
0.500 0.500 0.500
0.028 0.348 0.250
0.028 0.679 0.250
0.165 0.331 0.514
0.165 0.331 0.986
0.166 0.834 0.514
0.166 0.834 0.986
0.321 0.349 0.250
0.321 0.972 0.250
0.331 0.165 0.014
0.331 0.165 0.486
0.333 0.667 0.111
0.333 0.667 0.389
0.348 0.028 0.750
0.349 0.321 0.750
0.651 0.679 0.250
0.652 0.972 0.250
0.667 0.333 0.611
0.667 0.333 0.889
0.669 0.835 0.514
0.669 0.835 0.986
0.679 0.028 0.750
0.679 0.651 0.750
0.834 0.166 0.014
0.834 0.166 0.486
0.835 0.669 0.014
0.835 0.669 0.486
0.972 0.321 0.750
0.972 0.652 0.750
```

=====

Entry 4:
Diffraction record for Er2Al3Ga. The PXRD pattern is simulated, not measured: it uses DFT lattice parameters and positions (PBE) and Cu Kα X-rays.
Neutral-atom scattering factors, no anomalous dispersion.

Principal peaks in the range 2θ = 10–80°, by angle:
| Position (°2θ) | I_rel |
| --- | --- |
| 19.71 | 64.7 |
| 32.44 | 45.7 |
| 32.56 | 79.8 |
| 38.22 | 42.3 |
| 38.33 | 100.0 |
| 57.80 | 15.6 |
| 58.06 | 33.1 |
| 61.92 | 39.7 |
| 67.93 | 15.7 |
| 68.20 | 15.5 |

```
Er2Al3Ga
1.0
2.750 1.588 4.515
-2.750 1.588 4.515
0.000 -3.176 4.515
Er Al Ga
2 3 1
Direct
0.124 0.124 0.124
0.876 0.876 0.876
0.000 0.500 0.500
0.500 0.000 0.500
0.500 0.500 0.000
0.500 0.500 0.500
```

=====

Entry 5:
Diffraction record for Er2AlGe4. The PXRD pattern is simulated, not measured: it uses DFT lattice parameters and positions (PBE) and Cu Kα X-rays.
Neutral-atom scattering factors, no anomalous dispersion.

Principal peaks in the range 2θ = 10–80°, by angle:
| Position (°2θ) | I_rel |
| --- | --- |
| 24.04 | 17.4 |
| 32.21 | 14.2 |
| 34.27 | 21.6 |
| 34.39 | 100.0 |
| 39.06 | 14.6 |
| 42.85 | 18.5 |
| 43.82 | 17.3 |
| 62.96 | 11.7 |
| 73.06 | 11.1 |
| 74.44 | 10.5 |

```
Er2AlGe4
1.0
4.132 0.000 0.000
0.000 2.110 8.337
0.000 -2.110 8.337
Er Al Ge
2 1 4
Direct
0.000 0.000 0.000
0.500 0.202 0.202
0.000 0.780 0.780
0.000 0.364 0.364
0.000 0.635 0.635
0.500 0.544 0.544
0.500 0.866 0.866
```

=====

Entry 6:
Diffraction record for Er6Al2Ge7. The PXRD pattern is simulated, not measured: it uses DFT lattice parameters and positions (PBE) and Cu Kα X-rays.
Neutral-atom scattering factors, no anomalous dispersion.

Principal peaks in the range 2θ = 10–80°, by angle:
| Position (°2θ) | I_rel |
| --- | --- |
| 26.17 | 81.0 |
| 33.63 | 100.0 |
| 33.78 | 95.5 |
| 35.95 | 44.5 |
| 36.23 | 41.1 |
| 38.23 | 32.2 |
| 38.59 | 45.3 |
| 42.45 | 29.4 |
| 44.26 | 43.9 |
| 49.85 | 34.1 |

```
Er6Al2Ge7
1.0
5.229 -2.047 0.000
5.229 2.047 0.000
-0.218 0.000 14.990
Er Al Ge
6 2 7
Direct
0.026 0.026 0.261
0.313 0.313 0.407
0.359 0.359 0.928
0.641 0.641 0.072
0.687 0.687 0.593
0.974 0.974 0.739
0.334 0.334 0.166
0.666 0.666 0.834
0.000 0.000 0.500
0.071 0.071 0.929
0.260 0.260 0.739
0.400 0.400 0.600
0.600 0.600 0.400
0.740 0.740 0.261
0.929 0.929 0.071
```